Theoretical powder diffractogram of Mg14MnAl for Cu Kα (weighted mean of Kα1 and Kα2), from a structure optimized by DFT (PBE).

Main lines, low angle first (10° ≤ 2θ ≤ 80°):
- 33.1 deg, intensity 8
- 33.2 deg, intensity 16
- 35.1 deg, intensity 27
- 37.7 deg, intensity 100
- 49.1 deg, intensity 15
- 59.2 deg, intensity 11
- 64.7 deg, intensity 6
- 64.7 deg, intensity 12
- 70.8 deg, intensity 12
- 72.5 deg, intensity 9

Crystal structure
Lattice parameters (Å, degrees): 10.217 6.240 6.240 59.79 90.00 90.00
Positions (direct):
Mg: 0.000 0.000 0.000
Mg: 0.000 0.001 0.500
Mg: 0.000 0.500 0.001
Mg: 0.000 0.500 0.500
Mg: 0.253 0.165 0.165
Mg: 0.255 0.664 0.664
Mg: 0.260 0.170 0.667
Mg: 0.260 0.667 0.170
Mg: 0.500 0.500 0.999
Mg: 0.500 0.999 0.500
Mg: 0.740 0.170 0.667
Mg: 0.740 0.667 0.170
Mg: 0.745 0.664 0.664
Mg: 0.747 0.165 0.165
Mn: 0.500 0.502 0.502
Al: 0.500 0.001 0.001

---

Theoretical powder diffractogram of La3UCl3O6 for Cu Kα (weighted mean of Kα1 and Kα2), from a structure optimized by DFT (PBE).

Main lines, low angle first (10° ≤ 2θ ≤ 80°):
- 10.6 deg, intensity 60
- 24.3 deg, intensity 41
- 26.6 deg, intensity 55
- 28.4 deg, intensity 27
- 31.7 deg, intensity 28
- 32.6 deg, intensity 100
- 43.0 deg, intensity 32
- 45.8 deg, intensity 22
- 50.5 deg, intensity 32
- 57.0 deg, intensity 20

Crystal structure
Lattice parameters (Å, degrees): 9.605 9.605 5.652 90.00 90.00 120.00
Positions (direct):
La: 0.089 0.684 0.250
La: 0.316 0.405 0.250
La: 0.405 0.089 0.750
La: 0.595 0.911 0.250
La: 0.684 0.595 0.750
La: 0.911 0.316 0.750
U: 0.333 0.667 0.750
U: 0.667 0.333 0.250
Cl: 0.058 0.809 0.750
Cl: 0.191 0.249 0.750
Cl: 0.249 0.058 0.250
Cl: 0.751 0.942 0.750
Cl: 0.809 0.751 0.250
Cl: 0.942 0.191 0.250
O: 0.153 0.519 0.509
O: 0.153 0.519 0.991
O: 0.367 0.847 0.509
O: 0.367 0.847 0.991
O: 0.481 0.633 0.509
O: 0.481 0.633 0.991
O: 0.519 0.367 0.009
O: 0.519 0.367 0.491
O: 0.633 0.153 0.009
O: 0.633 0.153 0.491
O: 0.847 0.481 0.009
O: 0.847 0.481 0.491